(1)
For Li4TiFe3O8, a DFT-relaxed cell (PBE+U, the Materials Project) gives the calculated X-ray diffraction stick pattern in this record (λ = 1.5418 Å (Cu Kα)).
Lines closer than 0.1° are merged.

Crystal structure
Cell: 5.0908 5.6612 6.5405 Å, 90.55 90.10 90.07°
Space group P1 (No. 1)
Inequivalent atoms, fractional coordinates:
Li (0.0000, 0.0000, 0.0000)
Li (0.0000, 0.4923, 0.2465)
Li (0.4894, 0.3334, 0.4984)
Li (0.4893, 0.8313, 0.7560)
Ti (0.0005, 0.9942, 0.5004)
Fe (0.4840, 0.8201, 0.2395)
Fe (0.4921, 0.3269, 0.0021)
Fe (0.9985, 0.4947, 0.7501)
O (0.3561, 0.9946, 0.5048)
O (0.3723, 0.4913, 0.7595)
O (0.3870, 0.0100, 0.9985)
O (0.3877, 0.4820, 0.2452)
O (0.8744, 0.3415, 0.9872)
O (0.8918, 0.3116, 0.5123)
O (0.8925, 0.8212, 0.7297)
O (0.8946, 0.8441, 0.2672)

The 10 most intense peaks (10 to 90 degrees two-theta), sorted by position:
Position (°2θ), I/Imax
20.65, 39
20.85, 41
22.13, 100
31.46, 28
31.61, 28
31.73, 32
35.26, 53
36.18, 24
36.34, 37
56.02, 26

(2)
For Li2CoGeO4, a DFT-relaxed cell (PBE+U, the Materials Project) gives the calculated X-ray diffraction stick pattern in this record (λ = 1.5418 Å (Cu Kα)).
Lines closer than 0.1° are merged.

Crystal structure
Cell: 5.1060 5.5241 8.2140 Å, 90.00 128.37 90.00°
Space group Pc (No. 7)
Inequivalent atoms, fractional coordinates:
Li (0.0000, 0.1637, 0.0000)
Li (0.7494, 0.3289, 0.2486)
Co (0.2565, 0.3326, 0.7544)
Ge (0.5064, 0.1692, 0.4996)
O (0.1656, 0.3224, 0.2718)
O (0.3925, 0.1364, 0.9987)
O (0.6220, 0.3215, 0.7279)
O (0.8580, 0.1763, 0.5015)

The 10 most intense peaks (10 to 90 degrees two-theta), sorted by position:
Position (°2θ), I/Imax
21.19, 82
22.22, 100
27.53, 26
32.18, 46
32.41, 24
35.15, 44
36.79, 52
37.00, 25
57.67, 29
64.15, 26

(3)
For Ca2V2O7, a DFT-relaxed cell (PBE+U, the Materials Project) gives the calculated X-ray diffraction stick pattern in this record (λ = 1.5418 Å (Cu Kα)).
Lines closer than 0.1° are merged.

Crystal structure
Cell: 6.7486 7.0335 7.1232 Å, 85.96 63.79 82.86°
Space group P-1 (No. 2)
Inequivalent atoms, fractional coordinates:
Ca (0.2317, 0.4399, 0.2355)
Ca (0.2445, 0.8416, 0.8281)
V (0.2257, 0.9448, 0.3458)
V (0.3038, 0.3350, 0.7329)
O (0.0359, 0.9011, 0.6305)
O (0.1394, 0.1833, 0.9241)
O (0.1570, 0.4468, 0.6013)
O (0.2490, 0.7807, 0.1732)
O (0.3670, 0.5090, 0.8588)
O (0.3923, 0.1267, 0.2335)
O (0.4504, 0.8021, 0.4373)

The 10 most intense peaks (10 to 90 degrees two-theta), sorted by position:
Position (°2θ), I/Imax
25.20, 29
27.36, 56
27.93, 69
28.19, 100
28.22, 47
29.67, 87
30.62, 44
30.94, 51
31.37, 30
45.01, 29

(4)
For LiCrSiO4, a DFT-relaxed cell (PBE+U, the Materials Project) gives the calculated X-ray diffraction stick pattern in this record (λ = 1.5418 Å (Cu Kα)).
Lines closer than 0.1° are merged.

Crystal structure
Cell: 10.1938 5.7783 4.7734 Å, 90.00 90.00 90.00°
Space group Pnma (No. 62)
Inequivalent atoms, fractional coordinates:
Li (0.0000, 0.0000, 0.0000)
Cr (0.2310, 0.2500, 0.4989)
Si (0.0917, 0.7500, 0.4410)
O (0.0567, 0.2500, 0.6890)
O (0.1002, 0.7500, 0.7797)
O (0.1710, 0.5327, 0.2795)

The 10 most intense peaks (10 to 90 degrees two-theta), sorted by position:
Position (°2θ), I/Imax
17.40, 44
20.55, 46
25.74, 94
30.95, 53
35.97, 100
37.44, 23
40.56, 24
52.90, 36
58.37, 23
63.53, 25

(5)
For VF5, a DFT-relaxed cell (PBE+U, the Materials Project) gives the calculated X-ray diffraction stick pattern in this record (λ = 1.5418 Å (Cu Kα)).
Lines closer than 0.1° are merged.

Crystal structure
Cell: 5.5813 9.9641 7.3418 Å, 90.00 90.03 90.00°
Space group P2_1 (No. 4)
Inequivalent atoms, fractional coordinates:
V (0.0163, 0.0000, 0.0771)
V (0.4842, 0.3903, 0.6138)
F (0.0124, 0.8733, 0.9092)
F (0.0262, 0.0795, 0.2925)
F (0.2217, 0.3785, 0.7993)
F (0.2252, 0.5909, 0.0087)
F (0.2348, 0.0994, 0.9750)
F (0.2703, 0.3984, 0.4412)
F (0.2731, 0.8830, 0.1828)
F (0.2743, 0.8993, 0.5362)
F (0.4751, 0.5622, 0.6727)
F (0.4829, 0.2149, 0.6438)

The 10 most intense peaks (10 to 90 degrees two-theta), sorted by position:
Position (°2θ), I/Imax
14.99, 100
17.80, 56
19.98, 94
21.56, 29
21.90, 20
23.94, 15
26.89, 24
30.50, 22
41.64, 10
62.62, 12

(6)
For Ca2W3O8, a DFT-relaxed cell (PBE+U, the Materials Project) gives the calculated X-ray diffraction stick pattern in this record (λ = 1.5418 Å (Cu Kα)).
Lines closer than 0.1° are merged.

Crystal structure
Cell: 11.8456 5.9347 5.0265 Å, 90.00 105.64 90.00°
Space group C2/m (No. 12)
Inequivalent atoms, fractional coordinates:
Ca (0.2247, 0.0000, 0.1707)
W (0.0000, 0.2714, 0.5000)
W (0.0000, 0.5000, 0.0000)
O (0.0903, 0.0000, 0.4133)
O (0.1108, 0.2652, 0.8885)
O (0.1257, 0.5000, 0.4147)

The 10 most intense peaks (10 to 90 degrees two-theta), sorted by position:
Position (°2θ), I/Imax
15.54, 100
16.84, 33
27.87, 13
31.37, 19
35.48, 24
36.20, 13
36.78, 33
37.15, 15
44.41, 39
51.56, 17

(7)
For Li3FeSiCO7, a DFT-relaxed cell (PBE+U, the Materials Project) gives the calculated X-ray diffraction stick pattern in this record (λ = 1.5418 Å (Cu Kα)).
Lines closer than 0.1° are merged.

Crystal structure
Cell: 5.0231 6.4481 8.4137 Å, 90.00 93.25 90.00°
Space group P2_1/m (No. 11)
Inequivalent atoms, fractional coordinates:
Li (0.2314, 0.0243, 0.2261)
Li (0.2471, 0.7500, 0.6062)
Fe (0.2052, 0.2500, 0.8408)
Si (0.2878, 0.7500, 0.9206)
C (0.2741, 0.2500, 0.5340)
O (0.0274, 0.2500, 0.5707)
O (0.1726, 0.7500, 0.0991)
O (0.1859, 0.5539, 0.8081)
O (0.3436, 0.2500, 0.3880)
O (0.3820, 0.2500, 0.0554)
O (0.4585, 0.2500, 0.6500)

The 10 most intense peaks (10 to 90 degrees two-theta), sorted by position:
Position (°2θ), I/Imax
10.53, 90
17.34, 36
20.10, 38
21.14, 47
22.46, 28
26.91, 33
27.67, 100
35.82, 34
36.82, 24
45.89, 24

(8)
For MoPO7, a DFT-relaxed cell (PBE+U, the Materials Project) gives the calculated X-ray diffraction stick pattern in this record (λ = 1.5418 Å (Cu Kα)).
Lines closer than 0.1° are merged.

Crystal structure
Cell: 7.1837 6.4166 7.5076 Å, 90.00 112.20 90.00°
Space group P2_1/m (No. 11)
Inequivalent atoms, fractional coordinates:
Mo (0.2226, 0.2500, 0.3198)
P (0.1611, 0.7500, 0.1666)
O (0.0286, 0.2500, 0.0185)
O (0.0886, 0.7500, 0.6677)
O (0.1667, 0.5593, 0.2945)
O (0.2879, 0.2500, 0.5677)
O (0.3298, 0.7500, 0.0859)
O (0.4435, 0.2500, 0.2826)

The 10 most intense peaks (10 to 90 degrees two-theta), sorted by position:
Position (°2θ), I/Imax
13.31, 18
14.54, 100
18.82, 22
19.22, 16
20.10, 23
21.70, 32
24.94, 15
27.81, 35
29.22, 22
39.05, 17

Copy entry 3 word for word.
For Ca2V2O7, a DFT-relaxed cell (PBE+U, the Materials Project) gives the calculated X-ray diffraction stick pattern in this record (λ = 1.5418 Å (Cu Kα)).
Lines closer than 0.1° are merged.

Crystal structure
Cell: 6.7486 7.0335 7.1232 Å, 85.96 63.79 82.86°
Space group P-1 (No. 2)
Inequivalent atoms, fractional coordinates:
Ca (0.2317, 0.4399, 0.2355)
Ca (0.2445, 0.8416, 0.8281)
V (0.2257, 0.9448, 0.3458)
V (0.3038, 0.3350, 0.7329)
O (0.0359, 0.9011, 0.6305)
O (0.1394, 0.1833, 0.9241)
O (0.1570, 0.4468, 0.6013)
O (0.2490, 0.7807, 0.1732)
O (0.3670, 0.5090, 0.8588)
O (0.3923, 0.1267, 0.2335)
O (0.4504, 0.8021, 0.4373)

The 10 most intense peaks (10 to 90 degrees two-theta), sorted by position:
Position (°2θ), I/Imax
25.20, 29
27.36, 56
27.93, 69
28.19, 100
28.22, 47
29.67, 87
30.62, 44
30.94, 51
31.37, 30
45.01, 29